(1)
Sr2Ca2In3: computed powder X-ray diffraction pattern (Cu Kα X-rays), based on a crystal structure in Alexandria, relaxed with PBE.
Lines closer than 0.1° are merged.

Unit cell a=5.491 b=5.499 c=9.877 alpha=74.10 beta=73.99 gamma=60.26
Atoms (fractional coordinates):
Sr1 0.125 0.126 0.126
Sr2 0.875 0.874 0.874
Ca1 0.373 0.374 0.380
Ca2 0.627 0.626 0.620
In1 0.000 0.000 0.500
In2 0.255 0.255 0.734
In3 0.745 0.745 0.266

Largest 6 diffraction maxima, sorted by position, 10° ≤ 2θ ≤ 90°:
2θ = 18.9°, rel. 195; 2θ = 19.0°, rel. 135; 2θ = 31.6°, rel. 1000; 2θ = 32.5°, rel. 321; 2θ = 32.6°, rel. 634; 2θ = 57.6°, rel. 231


(2)
Sr5Ca5In2: computed powder X-ray diffraction pattern (Cu Kα X-rays), based on a crystal structure in Alexandria, relaxed with PBE.
Lines closer than 0.1° are merged.

Unit cell a=9.546 b=9.546 c=11.547 alpha=121.68 beta=121.68 gamma=34.93
Atoms (fractional coordinates):
Sr1 0.000 0.000 0.000
Sr2 0.118 0.118 0.813
Sr3 0.167 0.167 0.505
Sr4 0.833 0.833 0.495
Sr5 0.882 0.882 0.187
Ca1 0.243 0.243 0.205
Ca2 0.432 0.432 0.774
Ca3 0.500 0.500 0.500
Ca4 0.568 0.568 0.226
Ca5 0.757 0.757 0.795
In1 0.354 0.354 0.975
In2 0.646 0.646 0.025

Largest 6 diffraction maxima, sorted by position, 10° ≤ 2θ ≤ 90°:
2θ = 28.0°, rel. 1000; 2θ = 28.6°, rel. 993; 2θ = 29.1°, rel. 204; 2θ = 29.5°, rel. 506; 2θ = 31.2°, rel. 557; 2θ = 43.4°, rel. 273


(3)
SrCaIn6: computed powder X-ray diffraction pattern (Cu Kα X-rays), based on a crystal structure in Alexandria, relaxed with PBE.
Lines closer than 0.1° are merged.

Unit cell a=5.050 b=6.785 c=6.644 alpha=90.00 beta=90.00 gamma=90.00
Atoms (fractional coordinates):
Sr1 0.000 0.000 0.000
Ca1 0.500 0.500 0.232
In1 0.000 0.263 0.466
In2 0.000 0.500 0.896
In3 0.000 0.737 0.466
In4 0.500 0.000 0.353
In5 0.500 0.252 0.762
In6 0.500 0.748 0.762

Largest 6 diffraction maxima, sorted by position, 10° ≤ 2θ ≤ 90°:
2θ = 29.6°, rel. 265; 2θ = 32.3°, rel. 518; 2θ = 34.6°, rel. 1000; 2θ = 35.6°, rel. 336; 2θ = 46.9°, rel. 144; 2θ = 63.2°, rel. 165


(4)
SrCaY2In4: computed powder X-ray diffraction pattern (Cu Kα X-rays), based on a crystal structure in Alexandria, relaxed with PBE.
Lines closer than 0.1° are merged.

Unit cell a=9.454 b=9.454 c=9.454 alpha=33.53 beta=33.53 gamma=33.53
Atoms (fractional coordinates):
Sr1 0.000 0.000 0.000
Ca1 0.500 0.500 0.500
Y1 0.249 0.249 0.249
Y2 0.751 0.751 0.751
In1 0.127 0.127 0.127
In2 0.377 0.377 0.377
In3 0.623 0.623 0.623
In4 0.873 0.873 0.873

Largest 6 diffraction maxima, sorted by position, 10° ≤ 2θ ≤ 90°:
2θ = 23.1°, rel. 47; 2θ = 32.8°, rel. 1000; 2θ = 47.1°, rel. 177; 2θ = 58.6°, rel. 359; 2θ = 68.8°, rel. 109; 2θ = 78.4°, rel. 150


(5)
CaTb3In12: computed powder X-ray diffraction pattern (Cu Kα X-rays), based on a crystal structure in Alexandria, relaxed with PBE.
Lines closer than 0.1° are merged.

Unit cell a=4.666 b=4.666 c=18.697 alpha=90.00 beta=90.00 gamma=90.00
Atoms (fractional coordinates):
Ca1 0.000 0.000 0.000
Tb1 0.000 0.000 0.254
Tb2 0.000 0.000 0.500
Tb3 0.000 0.000 0.746
In1 0.000 0.500 0.127
In2 0.000 0.500 0.376
In3 0.000 0.500 0.624
In4 0.000 0.500 0.873
In5 0.500 0.000 0.127
In6 0.500 0.000 0.376
In7 0.500 0.000 0.624
In8 0.500 0.000 0.873
In9 0.500 0.500 0.000
In10 0.500 0.500 0.251
In11 0.500 0.500 0.500
In12 0.500 0.500 0.749

Largest 6 diffraction maxima, sorted by position, 10° ≤ 2θ ≤ 90°:
2θ = 33.2°, rel. 1000; 2θ = 38.6°, rel. 497; 2θ = 55.7°, rel. 332; 2θ = 66.4°, rel. 384; 2θ = 69.8°, rel. 110; 2θ = 82.7°, rel. 35


(6)
CaTbIn: computed powder X-ray diffraction pattern (Cu Kα X-rays), based on a crystal structure in Alexandria, relaxed with PBE.
Lines closer than 0.1° are merged.

Unit cell a=5.436 b=5.436 c=6.892 alpha=90.00 beta=90.00 gamma=120.00
Atoms (fractional coordinates):
Ca1 0.000 0.000 0.000
Ca2 0.000 0.000 0.500
Tb1 0.333 0.667 0.250
Tb2 0.667 0.333 0.750
In1 0.333 0.667 0.750
In2 0.667 0.333 0.250

Largest 6 diffraction maxima, sorted by position, 10° ≤ 2θ ≤ 90°:
2θ = 18.8°, rel. 342; 2θ = 25.9°, rel. 331; 2θ = 32.2°, rel. 685; 2θ = 33.0°, rel. 1000; 2θ = 42.4°, rel. 540; 2θ = 64.0°, rel. 283


(7)
CaTb6In5: computed powder X-ray diffraction pattern (Cu Kα X-rays), based on a crystal structure in Alexandria, relaxed with PBE.
Lines closer than 0.1° are merged.

Unit cell a=9.414 b=9.414 c=9.414 alpha=146.73 beta=132.50 gamma=59.23
Atoms (fractional coordinates):
Ca1 0.000 0.000 0.000
Tb1 0.083 0.826 0.257
Tb2 0.269 0.500 0.769
Tb3 0.431 0.174 0.257
Tb4 0.569 0.826 0.743
Tb5 0.731 0.500 0.231
Tb6 0.917 0.174 0.743
In1 0.151 0.651 0.500
In2 0.333 0.333 0.000
In3 0.500 0.000 0.500
In4 0.667 0.667 0.000
In5 0.849 0.349 0.500

Largest 6 diffraction maxima, sorted by position, 10° ≤ 2θ ≤ 90°:
2θ = 32.8°, rel. 195; 2θ = 33.2°, rel. 1000; 2θ = 47.4°, rel. 139; 2θ = 58.9°, rel. 129; 2θ = 59.4°, rel. 213; 2θ = 69.8°, rel. 104


(8)
CaTb2In4: computed powder X-ray diffraction pattern (Cu Kα X-rays), based on a crystal structure in Alexandria, relaxed with PBE.
Lines closer than 0.1° are merged.

Unit cell a=5.256 b=5.256 c=14.836 alpha=90.00 beta=90.00 gamma=90.00
Atoms (fractional coordinates):
Ca1 0.000 0.000 0.000
Ca2 0.500 0.500 0.500
Tb1 0.000 0.000 0.251
Tb2 0.000 0.000 0.749
Tb3 0.500 0.500 0.249
Tb4 0.500 0.500 0.751
In1 0.000 0.500 0.116
In2 0.000 0.500 0.384
In3 0.000 0.500 0.616
In4 0.000 0.500 0.884
In5 0.500 0.000 0.116
In6 0.500 0.000 0.384
In7 0.500 0.000 0.616
In8 0.500 0.000 0.884

Largest 6 diffraction maxima, sorted by position, 10° ≤ 2θ ≤ 90°:
2θ = 11.9°, rel. 139; 2θ = 26.8°, rel. 197; 2θ = 34.1°, rel. 1000; 2θ = 49.0°, rel. 120; 2θ = 61.1°, rel. 346; 2θ = 71.9°, rel. 104


(9)
CaInTc: computed powder X-ray diffraction pattern (Cu Kα X-rays), based on a crystal structure in Alexandria, relaxed with PBE.
Lines closer than 0.1° are merged.

Unit cell a=3.600 b=3.600 c=10.442 alpha=90.00 beta=90.00 gamma=90.00
Atoms (fractional coordinates):
Ca1 0.000 0.000 0.000
Ca2 0.500 0.500 0.500
In1 0.000 0.000 0.710
In2 0.500 0.500 0.210
Tc1 0.000 0.000 0.308
Tc2 0.500 0.500 0.808

Largest 6 diffraction maxima, sorted by position, 10° ≤ 2θ ≤ 90°:
2θ = 17.0°, rel. 628; 2θ = 35.3°, rel. 764; 2θ = 35.9°, rel. 1000; 2θ = 39.4°, rel. 307; 2θ = 50.7°, rel. 261; 2θ = 63.7°, rel. 350


(10)
CaThIn6: computed powder X-ray diffraction pattern (Cu Kα X-rays), based on a crystal structure in Alexandria, relaxed with PBE.
Lines closer than 0.1° are merged.

Unit cell a=4.726 b=4.726 c=9.472 alpha=90.00 beta=90.00 gamma=90.00
Atoms (fractional coordinates):
Ca1 0.000 0.000 0.000
Th1 0.000 0.000 0.500
In1 0.000 0.500 0.246
In2 0.000 0.500 0.754
In3 0.500 0.000 0.246
In4 0.500 0.000 0.754
In5 0.500 0.500 0.000
In6 0.500 0.500 0.500

Largest 6 diffraction maxima, sorted by position, 10° ≤ 2θ ≤ 90°:
2θ = 32.8°, rel. 1000; 2θ = 38.1°, rel. 499; 2θ = 54.9°, rel. 337; 2θ = 65.4°, rel. 130; 2θ = 65.5°, rel. 261; 2θ = 68.8°, rel. 112


(11)
CaTh3In12: computed powder X-ray diffraction pattern (Cu Kα X-rays), based on a crystal structure in Alexandria, relaxed with PBE.
Lines closer than 0.1° are merged.

Unit cell a=4.723 b=4.723 c=18.993 alpha=90.00 beta=90.00 gamma=90.00
Atoms (fractional coordinates):
Ca1 0.000 0.000 0.000
Th1 0.000 0.000 0.250
Th2 0.000 0.000 0.500
Th3 0.000 0.000 0.750
In1 0.000 0.500 0.122
In2 0.000 0.500 0.374
In3 0.000 0.500 0.626
In4 0.000 0.500 0.878
In5 0.500 0.000 0.122
In6 0.500 0.000 0.374
In7 0.500 0.000 0.626
In8 0.500 0.000 0.878
In9 0.500 0.500 0.000
In10 0.500 0.500 0.248
In11 0.500 0.500 0.500
In12 0.500 0.500 0.752

Largest 6 diffraction maxima, sorted by position, 10° ≤ 2θ ≤ 90°:
2θ = 32.8°, rel. 1000; 2θ = 37.9°, rel. 168; 2θ = 38.1°, rel. 332; 2θ = 54.8°, rel. 227; 2θ = 65.2°, rel. 132; 2θ = 65.5°, rel. 264


(12)
Ca2Tl2In: computed powder X-ray diffraction pattern (Cu Kα X-rays), based on a crystal structure in Alexandria, relaxed with PBE.
Lines closer than 0.1° are merged.

Unit cell a=8.518 b=8.518 c=8.222 alpha=90.00 beta=90.00 gamma=90.00
Atoms (fractional coordinates):
Ca1 0.164 0.328 0.000
Ca2 0.172 0.336 0.500
Ca3 0.328 0.836 0.000
Ca4 0.336 0.828 0.500
Ca5 0.664 0.172 0.500
Ca6 0.672 0.164 0.000
Ca7 0.828 0.664 0.500
Ca8 0.836 0.672 0.000
Tl1 0.134 0.634 0.250
Tl2 0.134 0.634 0.750
Tl3 0.366 0.134 0.250
Tl4 0.366 0.134 0.750
Tl5 0.634 0.866 0.250
Tl6 0.634 0.866 0.750
Tl7 0.866 0.366 0.250
Tl8 0.866 0.366 0.750
In1 0.000 0.000 0.301
In2 0.000 0.000 0.699
In3 0.500 0.500 0.199
In4 0.500 0.500 0.801

Largest 6 diffraction maxima, sorted by position, 10° ≤ 2θ ≤ 90°:
2θ = 21.6°, rel. 421; 2θ = 23.4°, rel. 449; 2θ = 32.0°, rel. 1000; 2θ = 33.3°, rel. 496; 2θ = 40.0°, rel. 310; 2θ = 63.0°, rel. 185